Record 1
# Ho3AlGa3
Simulated powder X-ray diffraction pattern, Cu Kα (λ = 1.5418 Å). Input: the PBE geometry in Alexandria.
Peak positions follow from Bragg's law for the DFT cell and can differ from measured ones.

Largest 10 diffraction maxima, most intense first, 10 to 90 degrees two-theta:
32.2 deg, I 100, (3 1 -1); 32.8 deg, I 76, (1 1 -4); 41.6 deg, I 38, (0 2 0); 39.6 deg, I 36, (3 1 2); 33.0 deg, I 33, (4 0 -2); 37.1 deg, I 25, (3 1 -4); 54.1 deg, I 24, (4 2 -2); 63.7 deg, I 18, (7 1 -3); 41.0 deg, I 18, (0 0 6); 32.5 deg, I 16, (3 1 -2)

Crystal structure
```
data_Ho3AlGa3
_cell_length_a 10.8606
_cell_length_b 4.3400
_cell_length_c 14.0388
_cell_angle_alpha 90.00
_cell_angle_beta 109.89
_cell_angle_gamma 90.00
_symmetry_space_group_name_H-M 'C 1 2/m 1'
_symmetry_Int_Tables_number 12
_symmetry_space_group_name_Hall '-C 2y'
loop_
_atom_site_label
_atom_site_fract_x
_atom_site_fract_y
_atom_site_fract_z
Ho1 0.0199 0.0000 0.3756
Ho2 0.1061 0.0000 0.9235
Ho3 0.2384 0.0000 0.2226
Al1 0.2360 0.5000 0.3927
Ga1 0.0256 0.5000 0.2283
Ga2 0.1116 0.5000 0.0747
Ga3 0.1303 0.5000 0.5454
```

Record 2
# Rb3Sm3SbS8
Simulated powder X-ray diffraction pattern, Cu Kα (λ = 1.5418 Å). Input: the PBE geometry in Alexandria.
Peak positions follow from Bragg's law for the DFT cell and can differ from measured ones.

Largest 10 diffraction maxima, most intense first, 10 to 90 degrees two-theta:
29.4 deg, I 100, (0 2 4); 11.3 deg, I 48, (0 0 3); 26.2 deg, I 37, (2 0 2); 39.8 deg, I 36, (2 0 8); 44.2 deg, I 33, (2 2 0); 22.7 deg, I 23, (0 0 6); 46.3 deg, I 21, (0 0 12); 61.0 deg, I 19, (0 4 8); 66.0 deg, I 17, (2 2 12); 54.0 deg, I 17, (4 0 4)

Crystal structure
```
data_Rb3Sm3SbS8
_cell_length_a 8.1908
_cell_length_b 8.1908
_cell_length_c 23.5337
_cell_angle_alpha 90.00
_cell_angle_beta 90.00
_cell_angle_gamma 120.00
_symmetry_space_group_name_H-M 'R -3 m'
_symmetry_Int_Tables_number 166
_symmetry_space_group_name_Hall '-R 3 2"'
loop_
_atom_site_label
_atom_site_fract_x
_atom_site_fract_y
_atom_site_fract_z
Rb1 0.0000 0.5000 0.0000
Sm1 0.0000 0.5000 0.5000
Sb1 0.0000 0.0000 0.5000
S1 0.0000 0.0000 0.2313
S2 0.0166 0.5083 0.2289
```

Record 3
# Ir2Ru4Rh3
Simulated powder X-ray diffraction pattern, Cu Kα (λ = 1.5418 Å). Input: the PBE geometry in Alexandria.
Peak positions follow from Bragg's law for the DFT cell and can differ from measured ones.

Largest 10 diffraction maxima, most intense first, 10 to 90 degrees two-theta:
40.7 deg, I 100, (3 1 1); 47.4 deg, I 48, (0 2 0); 69.2 deg, I 31, (0 2 3); 83.5 deg, I 18, (3 1 -5); 83.6 deg, I 18, (3 3 1); 88.2 deg, I 11, (6 2 -4); 15.4 deg, I 6, (0 0 1); 33.9 deg, I 4, (3 1 0); 16.2 deg, I 2, (2 0 0); 31.0 deg, I 1, (0 0 2)

Crystal structure
```
data_Ir2Ru4Rh3
_cell_length_a 11.5125
_cell_length_b 3.8355
_cell_length_c 6.0753
_cell_angle_alpha 90.00
_cell_angle_beta 108.45
_cell_angle_gamma 90.00
_symmetry_space_group_name_H-M 'C 1 2/m 1'
_symmetry_Int_Tables_number 12
_symmetry_space_group_name_Hall '-C 2y'
loop_
_atom_site_label
_atom_site_fract_x
_atom_site_fract_y
_atom_site_fract_z
Ir1 0.1678 0.0000 0.0022
Ru1 0.0596 0.0000 0.3369
Ru2 0.2193 0.5000 0.3329
Rh1 0.0000 0.5000 0.0000
Rh2 0.1110 0.5000 0.6626
```

Record 4
# PrSm4Rh4
Simulated powder X-ray diffraction pattern, Cu Kα (λ = 1.5418 Å). Input: the PBE geometry in Alexandria.
Peak positions follow from Bragg's law for the DFT cell and can differ from measured ones.

Largest 10 diffraction maxima, most intense first, 10 to 90 degrees two-theta:
31.4 deg, I 100, (1 3 0); 32.8 deg, I 36, (1 0 2); 45.0 deg, I 33, (4 2 0); 27.0 deg, I 26, (2 1 1); 44.8 deg, I 23, (1 3 2); 48.3 deg, I 21, (3 2 2); 38.5 deg, I 19, (1 2 2); 43.6 deg, I 19, (3 0 2); 31.2 deg, I 17, (0 0 2); 52.6 deg, I 13, (1 4 2)

Crystal structure
```
data_PrSm4Rh4
_cell_length_a 9.0135
_cell_length_b 9.0135
_cell_length_c 5.7358
_cell_angle_alpha 90.00
_cell_angle_beta 90.00
_cell_angle_gamma 90.00
_symmetry_space_group_name_H-M 'P 42/n'
_symmetry_Int_Tables_number 86
loop_
_symmetry_equiv_pos_as_xyz
'x,y,z'
'-x,-y,-z'
'-y,x+1/2,z+1/2'
'y,-x+1/2,-z+1/2'
'-x+1/2,-y+1/2,z'
'x+1/2,y+1/2,-z'
'y+1/2,-x,z+1/2'
'-y+1/2,x,-z+1/2'
loop_
_atom_site_label
_atom_site_fract_x
_atom_site_fract_y
_atom_site_fract_z
Pr1 0.2500 0.2500 0.2500
Sm1 0.0694 0.6591 0.1678
Rh1 0.0342 0.6238 0.6628
```

Record 5
# LiMgNi
Simulated powder X-ray diffraction pattern, Cu Kα (λ = 1.5418 Å). Input: the PBE geometry in Alexandria.
Peak positions follow from Bragg's law for the DFT cell and can differ from measured ones.

Largest 10 diffraction maxima, most intense first, 10 to 90 degrees two-theta:
42.3 deg, I 100, (1 2 1); 22.3 deg, I 89, (1 0 1); 42.7 deg, I 50, (1 0 3); 25.2 deg, I 49, (0 0 2); 37.2 deg, I 38, (2 0 0); 44.0 deg, I 33, (0 2 2); 45.5 deg, I 27, (2 0 2); 76.7 deg, I 20, (2 2 4); 70.6 deg, I 19, (3 2 1); 59.0 deg, I 19, (2 2 2)

Crystal structure
```
data_LiMgNi
_cell_length_a 4.8325
_cell_length_b 5.0625
_cell_length_c 7.0703
_cell_angle_alpha 90.00
_cell_angle_beta 90.00
_cell_angle_gamma 90.00
_symmetry_space_group_name_H-M 'I m m a'
_symmetry_Int_Tables_number 74
_symmetry_space_group_name_Hall '-I 2b 2'
loop_
_atom_site_label
_atom_site_fract_x
_atom_site_fract_y
_atom_site_fract_z
Li1 0.2500 0.2500 0.2500
Mg1 0.0000 0.2500 0.6306
Ni1 0.0000 0.0000 0.0000
```

Record 6
# Au2Se3
Simulated powder X-ray diffraction pattern, Cu Kα (λ = 1.5418 Å). Input: the PBE geometry in Alexandria.
Peak positions follow from Bragg's law for the DFT cell and can differ from measured ones.

Largest 10 diffraction maxima, most intense first, 10 to 90 degrees two-theta:
28.5 deg, I 100, (1 3 -1); 24.2 deg, I 55, (1 1 1); 49.6 deg, I 45, (1 5 -2); 14.9 deg, I 44, (1 1 0); 29.9 deg, I 39, (1 1 -2); 41.6 deg, I 36, (1 5 0); 29.5 deg, I 35, (2 2 -1); 43.8 deg, I 34, (3 3 -1); 32.6 deg, I 34, (2 0 -2); 47.0 deg, I 33, (2 4 1)

Crystal structure
```
data_Au2Se3
_cell_length_a 7.4083
_cell_length_b 11.4189
_cell_length_c 6.2184
_cell_angle_alpha 90.00
_cell_angle_beta 109.67
_cell_angle_gamma 90.00
_symmetry_space_group_name_H-M 'C 1 c 1'
_symmetry_Int_Tables_number 9
_symmetry_space_group_name_Hall 'C -2yc'
loop_
_atom_site_label
_atom_site_fract_x
_atom_site_fract_y
_atom_site_fract_z
Au1 0.0000 0.0863 0.0000
Au2 0.1310 0.2805 0.6486
Se1 0.3775 0.3827 0.0054
Se2 0.3787 0.0921 0.2471
Se3 0.4319 0.2015 0.5957
```

> What is the formula in the first record?

Ho3AlGa3